1.
Structure and simulated powder diffractogram of Ac4Pm3Sm (a structure optimized by DFT (PBE); Cu Kα X-rays).

Structure:
Cell: 5.4272 10.8547 10.7125 Å, 90.00 90.00 90.00°
Space group Pmmn (No. 59, origin choice 2)
Symmetry-distinct sites (fractional):
Ac (0.2500, 0.9999, 0.1372) [4 per cell]
Ac (0.2500, 0.2500, 0.8628) [2 per cell]
Ac (0.2500, 0.7500, 0.8631) [2 per cell]
Pm (0.2500, 0.9999, 0.6128) [4 per cell]
Pm (0.2500, 0.2500, 0.3874) [2 per cell]
Sm (0.2500, 0.7500, 0.3869) [2 per cell]

Top 12 peaks for 2θ = 5–70°, by angle:
| h k l | two_theta | I/Imax |
| --- | --- | --- |
| 1 2 1 | 24.64 | 5 |
| 1 2 2 | 28.61 | 100 |
| 2 0 0 | 33.01 | 35 |
| 0 0 4 | 33.46 | 16 |
| 2 0 3 | 41.81 | 3 |
| 2 4 0 | 47.38 | 13 |
| 2 0 4 | 47.71 | 23 |
| 1 2 5 | 48.67 | 4 |
| 3 2 2 | 56.29 | 31 |
| 1 2 6 | 56.88 | 12 |
| 2 4 4 | 59.24 | 12 |
| 4 0 0 | 69.25 | 4 |

2.
Structure and simulated powder diffractogram of Ac3Pm5Sm4 (a structure optimized by DFT (PBE); Cu Kα X-rays).

Structure:
Cell: 6.4728 7.4919 9.0844 Å, 90.11 90.03 90.10°
Space group P-1 (No. 2)
Symmetry-distinct sites (fractional):
Ac (0.0000, 0.0000, 0.0000) [1 per cell]
Ac (0.4999, 0.2534, 0.9999) [2 per cell]
Pm (0.0000, 0.5000, 0.0000) [1 per cell]
Pm (0.1657, 0.7470, 0.6610) [2 per cell]
Pm (0.3336, 0.0003, 0.3407) [2 per cell]
Sm (0.1661, 0.2525, 0.6611) [2 per cell]
Sm (0.3297, 0.5003, 0.3399) [2 per cell]

Top 12 peaks for 2θ = 5–70°, by angle:
| h k l | two_theta | I/Imax |
| --- | --- | --- |
| 2 0 1 | 29.26 | 100 |
| 0 0 3 | 29.50 | 32 |
| 1 2 2 | 33.99 | 67 |
| 0 4 0 | 48.64 | 16 |
| 3 2 0 | 48.74 | 8 |
| 2 0 4 | 48.98 | 24 |
| 2 -4 1 | 57.71 | 5 |
| 2 4 1 | 57.87 | 20 |
| 0 4 3 | 57.96 | 14 |
| 3 2 3 | 58.05 | 5 |
| 1 -2 5 | 58.19 | 9 |
| 2 4 -2 | 60.65 | 8 |

3.
Structure and simulated powder diffractogram of AcPm6Sm10 (a structure optimized by DFT (PBE); Cu Kα X-rays).

Structure:
Cell: 9.9205 9.9205 7.0147 Å, 90.00 90.00 120.00°
Space group P-31m (No. 162)
Symmetry-distinct sites (fractional):
Ac (0.0000, 0.0000, 0.0000) [1 per cell]
Pm (0.0000, 0.3758, 0.1943) [6 per cell]
Sm (0.0000, 0.2790, 0.6746) [6 per cell]
Sm (0.3333, 0.6667, 0.0000) [2 per cell]
Sm (0.3333, 0.6667, 0.5000) [2 per cell]

Top 12 peaks for 2θ = 5–70°, by angle:
| h k l | two_theta | I/Imax |
| --- | --- | --- |
| 2 -1 1 | 21.95 | 3 |
| 2 0 1 | 24.30 | 7 |
| 2 1 1 | 30.33 | 23 |
| 2 -1 2 | 31.23 | 100 |
| 3 1 1 | 39.96 | 8 |
| 2 2 2 | 44.75 | 15 |
| 5 -2 1 | 47.94 | 8 |
| 3 1 3 | 55.02 | 7 |
| 1 1 4 | 55.58 | 24 |
| 4 0 3 | 58.34 | 10 |
| 5 1 1 | 61.53 | 7 |
| 4 -2 4 | 65.15 | 5 |

4.
Structure and simulated powder diffractogram of Ac3Pm5Sm2 (a structure optimized by DFT (PBE); Cu Kα X-rays).

Structure:
Cell: 9.9459 14.3042 11.1858 Å, 90.00 90.00 90.00°
Space group Ibam (No. 72)
Symmetry-distinct sites (fractional):
Ac (0.0000, 0.0000, 0.2500) [4 per cell]
Ac (0.2465, 0.1246, 0.0000) [8 per cell]
Pm (0.0000, 0.2565, 0.2500) [8 per cell]
Pm (0.0000, 0.5000, 0.2500) [4 per cell]
Pm (0.0966, 0.3809, 0.0000) [8 per cell]
Sm (0.1010, 0.1396, 0.5000) [8 per cell]

Top 12 peaks for 2θ = 5–70°, by angle:
| h k l | two_theta | I/Imax |
| --- | --- | --- |
| 2 0 2 | 23.94 | 50 |
| 0 4 2 | 29.65 | 100 |
| 3 2 1 | 30.79 | 93 |
| 0 0 4 | 32.00 | 43 |
| 3 2 3 | 38.45 | 36 |
| 2 4 4 | 45.01 | 19 |
| 3 6 1 | 47.68 | 18 |
| 3 2 5 | 50.87 | 16 |
| 3 6 3 | 53.33 | 13 |
| 0 4 6 | 55.59 | 17 |
| 6 0 2 | 58.03 | 14 |
| 0 8 4 | 61.56 | 12 |

5.
Structure and simulated powder diffractogram of AcPmSm3 (a structure optimized by DFT (PBE); Cu Kα X-rays).

Structure:
Cell: 22.7215 3.7517 8.8319 Å, 90.00 105.40 90.00°
Space group C2/m (No. 12)
Symmetry-distinct sites (fractional):
Ac (0.2148, 0.0000, 0.3090) [4 per cell]
Pm (0.0163, 0.0000, 0.7164) [4 per cell]
Sm (0.0803, 0.5000, 0.0748) [4 per cell]
Sm (0.1130, 0.5000, 0.5175) [4 per cell]
Sm (0.1800, 0.0000, 0.8809) [4 per cell]

Top 12 peaks for 2θ = 5–70°, by angle:
| h k l | two_theta | I/Imax |
| --- | --- | --- |
| 3 1 -1 | 27.50 | 19 |
| 6 0 -2 | 27.64 | 9 |
| 4 0 2 | 29.81 | 30 |
| 5 1 0 | 31.37 | 100 |
| 8 0 -1 | 31.55 | 20 |
| 2 0 -4 | 40.96 | 10 |
| 9 1 -3 | 48.80 | 16 |
| 3 1 4 | 53.82 | 13 |
| 4 2 2 | 58.00 | 9 |
| 5 1 -5 | 58.10 | 9 |
| 13 1 -1 | 58.36 | 9 |
| 4 2 -3 | 59.00 | 13 |

6.
Structure and simulated powder diffractogram of Ac5Pm2Sm6 (a structure optimized by DFT (PBE); Cu Kα X-rays).

Structure:
Cell: 13.3967 14.6938 5.1370 Å, 90.00 90.00 90.00°
Space group Pbam (No. 55)
Symmetry-distinct sites (fractional):
Ac (0.0000, 0.0000, 0.0000) [2 per cell]
Ac (0.1035, 0.3926, 0.0000) [4 per cell]
Ac (0.1100, 0.7755, 0.0000) [4 per cell]
Pm (0.1017, 0.1926, 0.5000) [4 per cell]
Sm (0.0983, 0.5921, 0.5000) [4 per cell]
Sm (0.1957, 0.9350, 0.5000) [4 per cell]
Sm (0.2331, 0.0879, 0.0000) [4 per cell]

Top 12 peaks for 2θ = 5–70°, by angle:
| h k l | two_theta | I/Imax |
| --- | --- | --- |
| 2 3 1 | 28.49 | 100 |
| 3 2 1 | 29.15 | 84 |
| 4 2 0 | 29.31 | 14 |
| 1 4 1 | 30.66 | 16 |
| 1 5 0 | 31.16 | 28 |
| 5 1 0 | 34.01 | 17 |
| 0 0 2 | 34.93 | 39 |
| 5 5 0 | 45.83 | 13 |
| 1 5 2 | 47.50 | 18 |
| 3 8 1 | 57.11 | 13 |
| 2 3 3 | 58.75 | 22 |
| 5 5 2 | 58.90 | 14 |

> What is the formula in the fifth record?

AcPmSm3